Entry 1:
CdMo6S8: calculated powder diffraction line list (Cu Kα, 1.54184 Å), based on DFT lattice parameters and positions (PBE).
Kinematic intensities with the Lorentz-polarization factor, no thermal factor.

Cell and atoms:
```
CdMo6S8
1.0
4.7438 2.7388 3.6233
-4.7438 2.7388 3.6233
0.0000 -5.4776 3.6233
Cd Mo S
1 6 8
Direct
0.0000 0.0000 0.0000
0.2201 0.4094 0.5535
0.4094 0.5535 0.2201
0.4465 0.7799 0.5906
0.5535 0.2201 0.4094
0.5906 0.4465 0.7799
0.7799 0.5906 0.4465
0.1320 0.7267 0.3803
0.2262 0.2262 0.2262
0.2733 0.6197 0.8680
0.3803 0.1320 0.7267
0.6197 0.8680 0.2733
0.7267 0.3802 0.1320
0.7738 0.7738 0.7738
0.8680 0.2733 0.6197
```

Principal peaks in the range 2θ = 10–90°, sorted by position:
2theta, I_rel
13.5, 1000
18.7, 377
19.6, 263
29.9, 620
33.2, 454
40.4, 607
43.0, 715
44.3, 362
45.7, 690
51.3, 262



Entry 2:
CaO: calculated powder diffraction line list (Cu Kα, 1.54184 Å), based on DFT lattice parameters and positions (PBE).
Kinematic intensities with the Lorentz-polarization factor, no thermal factor.

Cell and atoms:
```
CaO
1.0
-1.6676 1.6676 8.5135
1.6676 -1.6676 8.5135
1.6676 1.6676 -8.5135
Ca O
2 2
Direct
0.1796 0.1796 0.0000
0.8204 0.8204 0.0000
0.3182 0.3182 0.0000
0.6818 0.6818 0.0000
```

Principal peaks in the range 2θ = 10–90°, sorted by position:
2theta, I_rel
10.4, 1000
31.1, 111
31.5, 117
38.2, 173
39.7, 125
42.5, 53
50.3, 106
55.1, 51
58.4, 71
64.8, 43



Entry 3:
HfNi5: calculated powder diffraction line list (Cu Kα, 1.54184 Å), based on DFT lattice parameters and positions (PBE).
Kinematic intensities with the Lorentz-polarization factor, no thermal factor.

Cell and atoms:
```
HfNi5
1.0
0.0000 3.3305 3.3305
3.3305 0.0000 3.3305
3.3305 3.3305 0.0000
Hf Ni
1 5
Direct
0.0000 0.0000 0.0000
0.1275 0.6242 0.6242
0.2500 0.2500 0.2500
0.6242 0.1275 0.6242
0.6242 0.6242 0.1275
0.6242 0.6242 0.6242
```

Principal peaks in the range 2θ = 10–90°, sorted by position:
2theta, I_rel
23.1, 144
26.8, 134
38.2, 487
45.1, 1000
47.3, 239
60.6, 40
62.3, 51
69.1, 168
73.9, 294
81.8, 212



Entry 4:
Ce3Se2NO: calculated powder diffraction line list (Cu Kα, 1.54184 Å), based on DFT lattice parameters and positions (PBE).
Kinematic intensities with the Lorentz-polarization factor, no thermal factor.

Cell and atoms:
```
Ce3Se2NO
1.0
12.2592 -2.0059 0.0000
12.2592 2.0059 0.0000
-0.8919 0.0000 9.3245
Ce Se N O
9 6 3 3
Direct
0.0000 0.0000 0.0000
0.1821 0.1821 0.9838
0.2581 0.2581 0.3420
0.4391 0.4391 0.3257
0.5322 0.5322 0.6712
0.6269 0.6269 0.3100
0.7201 0.7201 0.6678
0.8098 0.8098 0.0154
0.9073 0.9073 0.6540
0.0294 0.0294 0.3337
0.1313 0.1313 0.6265
0.3090 0.3090 0.6934
0.4095 0.4095 0.9906
0.5871 0.5871 0.9897
0.8516 0.8516 0.3378
0.4435 0.4435 0.5636
0.7219 0.7219 0.9066
0.9960 0.9960 0.7616
0.1672 0.1672 0.2328
0.2722 0.2722 0.1001
0.7180 0.7180 0.4163
```

Principal peaks in the range 2θ = 10–90°, sorted by position:
2theta, I_rel
24.7, 136
28.7, 616
29.8, 1000
35.7, 477
39.0, 115
40.0, 104
45.2, 204
46.8, 166
47.4, 284
54.4, 208



Entry 5:
Mg6TiCdO8: calculated powder diffraction line list (Cu Kα, 1.54184 Å), based on DFT lattice parameters and positions (PBE).
Kinematic intensities with the Lorentz-polarization factor, no thermal factor.

Cell and atoms:
```
Mg6TiCdO8
1.0
4.3750 0.0000 0.0000
0.0000 4.3750 0.0000
0.0000 0.0000 8.8505
Mg Ti Cd O
6 1 1 8
Direct
0.0000 0.0000 0.0000
0.0000 0.0000 0.5000
0.0000 0.5000 0.2491
0.0000 0.5000 0.7509
0.5000 0.0000 0.2491
0.5000 0.0000 0.7509
0.5000 0.5000 0.0000
0.5000 0.5000 0.5000
0.0000 0.0000 0.2492
0.0000 0.0000 0.7508
0.0000 0.5000 0.0000
0.0000 0.5000 0.5000
0.5000 0.0000 0.0000
0.5000 0.0000 0.5000
0.5000 0.5000 0.2351
0.5000 0.5000 0.7649
```

Principal peaks in the range 2θ = 10–90°, sorted by position:
2theta, I_rel
20.1, 208
20.3, 400
22.7, 196
28.7, 345
35.4, 535
40.8, 514
41.3, 1000
59.4, 590
59.8, 291
74.9, 271



Entry 6:
Sm3ReO7: calculated powder diffraction line list (Cu Kα, 1.54184 Å), based on DFT lattice parameters and positions (PBE).
Kinematic intensities with the Lorentz-polarization factor, no thermal factor.

Cell and atoms:
```
Sm3ReO7
1.0
5.4089 -3.7307 0.0000
5.4089 3.7307 0.0000
0.0000 0.0000 7.5718
Sm Re O
6 2 14
Direct
0.0000 0.0000 0.0000
0.0000 0.0000 0.5000
0.0731 0.4778 0.7500
0.4778 0.0731 0.2500
0.5222 0.9269 0.7500
0.9269 0.5222 0.2500
0.5000 0.5000 0.0000
0.5000 0.5000 0.5000
0.1090 0.1551 0.2500
0.1551 0.1090 0.7500
0.1853 0.5606 0.0369
0.1853 0.5606 0.4631
0.4187 0.5813 0.7500
0.4394 0.8147 0.0369
0.4394 0.8147 0.4631
0.5606 0.1853 0.5369
0.5606 0.1853 0.9631
0.5813 0.4187 0.2500
0.8147 0.4394 0.5369
0.8147 0.4394 0.9631
0.8449 0.8910 0.2500
0.8910 0.8449 0.7500
```

Principal peaks in the range 2θ = 10–90°, sorted by position:
2theta, I_rel
28.8, 1000
29.1, 892
33.1, 229
33.7, 450
48.0, 647
56.5, 100
56.7, 99
57.2, 267
57.7, 157
59.6, 100



Entry 7:
SbO2: calculated powder diffraction line list (Cu Kα, 1.54184 Å), based on DFT lattice parameters and positions (PBE).
Kinematic intensities with the Lorentz-polarization factor, no thermal factor.

Cell and atoms:
```
SbO2
1.0
-3.1911 3.6709 3.7735
3.1911 -3.6709 3.7735
3.1911 3.6709 -3.7735
Sb O
4 8
Direct
0.0000 0.0000 0.5000
0.0000 0.5000 0.0000
0.4339 0.1839 0.2500
0.5661 0.8161 0.7500
0.1774 0.2484 0.9290
0.1805 0.7516 0.4290
0.2641 0.2559 0.4918
0.2641 0.7723 0.0082
0.7359 0.2277 0.9918
0.7359 0.7441 0.5082
0.8195 0.2484 0.5710
0.8226 0.7516 0.0710
```

Principal peaks in the range 2θ = 10–90°, sorted by position:
2theta, I_rel
18.2, 124
23.6, 527
24.2, 777
30.1, 220
32.8, 1000
34.1, 217
47.7, 181
48.4, 482
60.2, 138
62.5, 145



Entry 8:
BaTi4O7: calculated powder diffraction line list (Cu Kα, 1.54184 Å), based on DFT lattice parameters and positions (PBE).
Kinematic intensities with the Lorentz-polarization factor, no thermal factor.

Cell and atoms:
```
BaTi4O7
1.0
6.6112 0.0000 0.0000
-3.3056 5.7255 0.0000
0.0000 0.0000 10.5140
Ba Ti O
2 8 14
Direct
0.3333 0.6667 0.0000
0.6667 0.3333 0.5000
0.0000 0.0000 0.4016
0.0000 0.0000 0.9016
0.1884 0.3767 0.6508
0.1884 0.8116 0.6508
0.3767 0.1884 0.1508
0.6233 0.8116 0.6508
0.8116 0.1884 0.1508
0.8116 0.6233 0.1508
0.0000 0.0000 0.2158
0.0000 0.0000 0.7158
0.0161 0.5080 0.1830
0.1456 0.2911 0.4780
0.1456 0.8544 0.4780
0.2911 0.1456 0.9780
0.4920 0.5080 0.1830
0.4920 0.9839 0.1830
0.5080 0.0161 0.6830
0.5080 0.4920 0.6830
0.7089 0.8544 0.4780
0.8544 0.1456 0.9780
0.8544 0.7089 0.9780
0.9839 0.4920 0.6830
```

Principal peaks in the range 2θ = 10–90°, sorted by position:
2theta, I_rel
16.9, 388
17.6, 528
23.0, 189
27.0, 222
29.9, 518
32.0, 496
32.4, 1000
35.7, 178
55.0, 183
55.6, 254



Entry 9:
MgZnAg2: calculated powder diffraction line list (Cu Kα, 1.54184 Å), based on DFT lattice parameters and positions (PBE).
Kinematic intensities with the Lorentz-polarization factor, no thermal factor.

Cell and atoms:
```
MgZnAg2
1.0
3.1373 0.0000 0.0000
0.0000 3.1373 0.0000
0.0000 0.0000 7.1592
Mg Zn Ag
1 1 2
Direct
0.0000 0.0000 0.0000
0.0000 0.0000 0.5000
0.5000 0.5000 0.2677
0.5000 0.5000 0.7323
```

Principal peaks in the range 2θ = 10–90°, sorted by position:
2theta, I_rel
12.4, 184
24.9, 116
28.4, 180
38.1, 1000
40.7, 430
51.0, 94
58.9, 137
67.2, 156
72.3, 278
81.6, 90



Entry 10:
YSnPt: calculated powder diffraction line list (Cu Kα, 1.54184 Å), based on DFT lattice parameters and positions (PBE).
Kinematic intensities with the Lorentz-polarization factor, no thermal factor.

Cell and atoms:
```
YSnPt
1.0
7.2257 0.0000 0.0000
0.0000 4.5757 0.0000
0.0000 0.0000 8.0647
Y Sn Pt
4 4 4
Direct
0.0096 0.2500 0.1981
0.4904 0.7500 0.6981
0.5096 0.2500 0.3019
0.9904 0.7500 0.8019
0.1815 0.2500 0.5848
0.3185 0.7500 0.0848
0.6815 0.2500 0.9152
0.8185 0.7500 0.4152
0.2150 0.7500 0.4102
0.2850 0.2500 0.9102
0.7150 0.7500 0.0898
0.7850 0.2500 0.5898
```

Principal peaks in the range 2θ = 10–90°, sorted by position:
2theta, I_rel
24.6, 293
32.1, 443
33.3, 361
33.5, 1000
38.9, 923
39.0, 363
39.4, 551
46.6, 346
56.7, 249
63.5, 254



Entry 11:
La2InPd2: calculated powder diffraction line list (Cu Kα, 1.54184 Å), based on DFT lattice parameters and positions (PBE).
Kinematic intensities with the Lorentz-polarization factor, no thermal factor.

Cell and atoms:
```
La2InPd2
1.0
7.9930 0.0000 0.0000
0.0000 7.9930 0.0000
0.0000 0.0000 3.9462
La In Pd
4 2 4
Direct
0.1758 0.3242 0.0000
0.3242 0.8242 0.0000
0.6758 0.1758 0.0000
0.8242 0.6758 0.0000
0.0000 0.0000 0.5000
0.5000 0.5000 0.5000
0.1300 0.6300 0.5000
0.3700 0.1300 0.5000
0.6300 0.8700 0.5000
0.8700 0.3700 0.5000
```

Principal peaks in the range 2θ = 10–90°, sorted by position:
2theta, I_rel
31.7, 110
31.9, 333
33.8, 1000
35.5, 435
46.0, 155
52.6, 146
59.4, 191
63.9, 106
67.4, 112
77.3, 89



Entry 12:
LiAl2H4Pb2O4F6: calculated powder diffraction line list (Cu Kα, 1.54184 Å), based on DFT lattice parameters and positions (PBE).
Kinematic intensities with the Lorentz-polarization factor, no thermal factor.

Cell and atoms:
```
LiAl2H4Pb2O4F6
1.0
5.7509 0.0000 0.0000
1.1946 5.9975 0.0000
0.1639 2.5703 6.8103
Li Al H Pb O F
1 2 4 2 4 6
Direct
0.0000 0.0000 0.0000
0.4764 0.0896 0.9713
0.7605 0.7059 0.3168
0.4065 0.6625 0.1402
0.4224 0.6556 0.5380
0.7038 0.1562 0.2419
0.7198 0.1550 0.6709
0.2226 0.1537 0.4488
0.7894 0.6351 0.8102
0.5340 0.7643 0.5039
0.5390 0.7457 0.1066
0.7162 0.0479 0.1686
0.7226 0.0351 0.8035
0.0009 0.6696 0.1463
0.2190 0.1286 0.1202
0.2484 0.0662 0.8105
0.4496 0.4073 0.8636
0.7711 0.3868 0.4198
0.9901 0.6870 0.4935
```

Principal peaks in the range 2θ = 10–90°, sorted by position:
2theta, I_rel
16.5, 301
20.0, 1000
21.0, 372
23.8, 228
24.6, 564
25.4, 251
30.0, 171
31.0, 255
31.9, 291
33.6, 176